(1)
Theoretical powder diffractogram
Compound: SmMgMoS4
Radiation: CuKα
Structure: the PBE geometry in the Materials Project

Cell and atoms:
```
SmMgMoS4
1.0
-3.8384 3.8986 5.4254
3.8384 -3.8986 5.4254
3.8384 3.8986 -5.4254
Sm Mg Mo S
2 2 2 8
Cartesian
0.0000 0.0000 0.0000
0.0000 3.8986 0.0000
3.8384 1.9493 1.3361
0.0000 1.9493 4.0893
1.9192 1.9493 -2.7127
1.9192 -1.9493 2.7127
3.8384 -0.2379 2.6405
3.8384 3.6607 -2.6405
1.9366 1.9493 -0.1865
5.7402 1.9493 -0.1865
-1.9018 1.9493 5.6119
1.9018 1.9493 5.6119
0.0000 0.2379 8.0659
0.0000 4.1365 2.7849
```

Main lines, most intense first (15° ≤ 2θ ≤ 90°):
- 2θ = 32.7°, rel. 100
- 2θ = 27.2°, rel. 89
- 2θ = 47.2°, rel. 87
- 2θ = 26.9°, rel. 75
- 2θ = 33.0°, rel. 48
- 2θ = 43.3°, rel. 30

(2)
Theoretical powder diffractogram
Compound: NbPRu
Radiation: CuKα
Structure: the PBE geometry in the Materials Project

Cell and atoms:
```
NbPRu
1.0
6.3634 0.0000 0.0000
0.0000 3.7589 0.0000
0.0000 0.0000 7.2095
Nb P Ru
4 4 4
Cartesian
0.1518 0.9397 1.2480
3.0299 2.8192 4.8528
3.3335 0.9397 2.3567
6.2117 2.8192 5.9615
1.4747 2.8192 2.7214
1.7070 0.9397 6.3261
4.6565 2.8192 0.8834
4.8887 0.9397 4.4881
0.9199 0.9397 4.0598
2.2618 2.8192 0.4551
4.1017 0.9397 6.7544
5.4435 2.8192 3.1496
```

Main lines, most intense first (15° ≤ 2θ ≤ 90°):
- 2θ = 37.3°, rel. 100
- 2θ = 39.1°, rel. 67
- 2θ = 37.0°, rel. 47
- 2θ = 48.4°, rel. 38
- 2θ = 44.5°, rel. 34
- 2θ = 40.1°, rel. 34

(3)
Theoretical powder diffractogram
Compound: Ba3LiTi3O8
Radiation: CuKα
Structure: the PBE geometry in the Materials Project

Cell and atoms:
```
Ba3LiTi3O8
1.0
5.7841 0.0000 0.0000
2.8810 5.3528 0.0000
0.6392 0.8199 7.2883
Ba Li Ti O
3 1 3 8
Cartesian
0.0000 0.0000 0.0000
2.8416 1.6825 4.4632
5.7923 3.6062 2.5245
4.1506 3.5107 5.9529
2.9918 1.9031 1.2648
6.6130 3.9578 6.1217
8.7265 5.3102 3.3663
2.3884 3.4073 6.9747
2.8194 3.6947 2.3623
1.3832 1.0151 2.2500
4.2288 4.8851 4.6531
4.5619 2.8761 0.1753
4.3194 0.9708 2.2775
5.9349 2.5222 5.1134
7.2981 4.9658 4.6736
```

Main lines, most intense first (15° ≤ 2θ ≤ 90°):
- 2θ = 30.5°, rel. 100
- 2θ = 29.4°, rel. 86
- 2θ = 31.3°, rel. 76
- 2θ = 29.7°, rel. 62
- 2θ = 28.3°, rel. 59
- 2θ = 31.0°, rel. 57

(4)
Theoretical powder diffractogram
Compound: Mg2Ga5Cu6
Radiation: CuKα
Structure: the PBE geometry in the Materials Project

Cell and atoms:
```
Mg2Ga5Cu6
1.0
8.2981 0.0000 0.0000
0.0000 8.2981 0.0000
0.0000 0.0000 8.2981
Mg Ga Cu
6 15 18
Cartesian
0.0000 2.6458 4.1491
0.0000 5.6524 4.1491
2.6458 4.1491 0.0000
4.1491 0.0000 2.6458
4.1491 0.0000 5.6524
5.6524 4.1491 0.0000
0.0000 4.1491 1.3561
0.0000 4.1491 6.9421
1.3561 0.0000 4.1491
1.8090 1.8090 1.8090
1.8090 1.8090 6.4891
1.8090 6.4891 1.8090
1.8090 6.4891 6.4891
4.1491 1.3561 0.0000
4.1491 4.1491 4.1491
4.1491 6.9421 0.0000
6.4891 1.8090 1.8090
6.4891 1.8090 6.4891
6.4891 6.4891 1.8090
6.4891 6.4891 6.4891
6.9421 0.0000 4.1491
0.0000 0.0000 1.8663
0.0000 0.0000 6.4319
0.0000 1.8663 0.0000
0.0000 6.4319 0.0000
1.8663 0.0000 0.0000
2.0105 4.1491 2.7909
2.0105 4.1491 5.5073
2.7909 2.0105 4.1491
2.7909 6.2877 4.1491
4.1491 2.7909 2.0105
4.1491 2.7909 6.2877
4.1491 5.5073 2.0105
4.1491 5.5073 6.2877
5.5073 2.0105 4.1491
5.5073 6.2877 4.1491
6.2877 4.1491 2.7909
6.2877 4.1491 5.5073
6.4319 0.0000 0.0000
```

Main lines, most intense first (15° ≤ 2θ ≤ 90°):
- 2θ = 45.0°, rel. 100
- 2θ = 40.7°, rel. 51
- 2θ = 43.6°, rel. 44
- 2θ = 15.1°, rel. 21
- 2θ = 24.0°, rel. 20
- 2θ = 37.5°, rel. 18

(5)
Theoretical powder diffractogram
Compound: Cu6SnWS8
Radiation: CuKα
Structure: the PBE geometry in the Materials Project

Cell and atoms:
```
Cu6SnWS8
1.0
7.5960 0.0000 0.0000
0.0000 7.5960 0.0000
0.0000 0.0000 5.2748
Cu Sn W S
6 1 1 8
Cartesian
0.0000 3.7980 0.0095
1.8993 1.8993 2.6374
1.8993 5.6967 2.6374
3.7980 0.0000 5.2653
5.6967 1.8993 2.6374
5.6967 5.6967 2.6374
0.0000 0.0000 0.0000
3.7980 3.7980 0.0000
0.0000 2.0145 3.8798
0.0000 5.5815 3.8798
1.9478 3.7980 1.2907
2.0145 0.0000 1.3949
3.7980 1.9478 3.9841
3.7980 5.6482 3.9841
5.5815 0.0000 1.3949
5.6482 3.7980 1.2907
```

Main lines, most intense first (15° ≤ 2θ ≤ 90°):
- 2θ = 29.0°, rel. 100
- 2θ = 48.4°, rel. 38
- 2θ = 57.0°, rel. 28
- 2θ = 47.9°, rel. 19
- 2θ = 57.8°, rel. 13
- 2θ = 89.7°, rel. 12

(6)
Theoretical powder diffractogram
Compound: KMg3AlSi3O11F
Radiation: CuKα
Structure: the PBE geometry in the Materials Project

Cell and atoms:
```
KMg3AlSi3O11F
1.0
2.6982 -4.6623 0.0000
2.6982 4.6623 0.0000
-1.8804 0.0000 20.6050
K Mg Al Si O F
2 6 2 6 22 2
Cartesian
1.7581 3.8495 10.3025
2.6982 -3.8495 0.0000
0.8713 2.3329 5.4285
-0.0623 0.7774 15.7646
0.8779 -0.7774 5.4620
-0.0689 -2.3329 15.7310
3.5282 0.7848 5.4244
2.5880 -0.7848 15.7269
0.8562 2.3965 18.4835
1.7964 -2.3965 8.1810
2.6532 2.3770 2.6638
1.7959 0.7407 8.2383
1.7159 0.7252 12.9657
0.8557 -0.7407 18.5409
2.6561 -0.7252 2.6632
1.7130 -2.3770 12.9663
0.4970 1.4839 8.8497
0.3553 1.4896 12.3822
1.7096 3.8813 14.7976
0.8390 2.3624 16.7140
2.6417 2.3506 4.2842
1.7916 0.7750 6.5668
0.8378 0.7808 19.1070
-0.4432 -1.4839 19.1523
1.2955 -1.4896 2.0797
2.6555 0.8269 2.0568
1.7190 0.7339 14.5872
0.8514 -0.7750 16.8693
1.7780 -0.7808 8.8045
3.1109 1.4547 8.8532
1.7153 -0.8269 12.3594
3.0645 1.5017 12.3774
2.6592 -0.7339 4.2847
1.7791 -2.3624 6.4115
1.7015 -2.3506 14.5867
2.1707 -1.4547 19.1557
4.0047 -1.5017 2.0749
2.6498 -3.8813 4.4951
1.7416 3.8526 6.4312
0.8014 -3.8526 16.7337
```

Main lines, most intense first (15° ≤ 2θ ≤ 90°):
- 2θ = 25.9°, rel. 100
- 2θ = 33.8°, rel. 97
- 2θ = 36.4°, rel. 94
- 2θ = 26.8°, rel. 93
- 2θ = 24.7°, rel. 91
- 2θ = 28.9°, rel. 83

(7)
Theoretical powder diffractogram
Compound: CeH3O3
Radiation: CuKα
Structure: the PBE geometry in the Materials Project

Cell and atoms:
```
CeH3O3
1.0
6.6038 0.0000 0.0000
-3.3019 5.7191 0.0000
0.0000 0.0000 3.7354
Ce H O
2 6 6
Cartesian
0.0000 3.8127 0.9338
3.3019 1.9063 2.8015
-1.9006 4.8705 2.8015
0.0342 1.6379 2.8015
1.4355 0.7893 0.9338
1.8664 4.9298 2.8015
3.2677 4.0812 0.9338
5.2025 0.8486 0.9338
-0.7134 2.2622 2.8015
-0.9861 5.2058 2.8015
1.6024 1.7489 0.9338
1.6995 3.9702 2.8015
4.2880 0.5133 0.9338
4.0152 3.4569 0.9338
```

Main lines, most intense first (15° ≤ 2θ ≤ 90°):
- 2θ = 15.5°, rel. 100
- 2θ = 28.5°, rel. 95
- 2θ = 48.7°, rel. 77
- 2θ = 39.7°, rel. 74
- 2θ = 27.0°, rel. 71
- 2θ = 77.1°, rel. 27

(8)
Theoretical powder diffractogram
Compound: Cs3IO
Radiation: CuKα
Structure: the PBE geometry in the Materials Project

Cell and atoms:
```
Cs3IO
1.0
8.3222 0.0000 0.0000
-4.1611 7.2072 0.0000
0.0000 0.0000 7.3402
Cs I O
6 2 2
Cartesian
0.0000 2.1900 1.8350
-2.2645 6.1122 1.8350
1.8966 1.0950 5.5051
2.2645 6.1122 1.8350
6.4256 1.0950 5.5051
4.1611 5.0172 5.5051
0.0000 4.8048 5.5051
4.1611 2.4024 1.8350
0.0000 0.0000 0.0000
0.0000 0.0000 3.6701
```

Main lines, most intense first (15° ≤ 2θ ≤ 90°):
- 2θ = 27.6°, rel. 100
- 2θ = 24.3°, rel. 30
- 2θ = 44.8°, rel. 26
- 2θ = 50.4°, rel. 21
- 2θ = 34.9°, rel. 20
- 2θ = 24.7°, rel. 19